No. 1
For Li2InSnPb, DFT lattice parameters and positions (GGA-PBE) gives the computed XRD peak list in this record (Cu Kα (λ = 1.5418 Å)).
Kinematic intensities with the Lorentz-polarization factor, no thermal factor.

Top 12 peaks for 15° ≤ 2θ ≤ 90°, in order of falling intensity:
d = 2.509 Å, rel. 100; d = 2.482 Å, rel. 89; d = 3.290 Å, rel. 87; d = 3.109 Å, rel. 87; d = 4.339 Å, rel. 72; d = 2.728 Å, rel. 51; d = 3.644 Å, rel. 43; d = 1.995 Å, rel. 38; d = 2.718 Å, rel. 35; d = 1.888 Å, rel. 32; d = 2.499 Å, rel. 30; d = 2.795 Å, rel. 30

Structure:
Cell: 5.0003 3.3905 13.8149 Å, 90.00 99.10 90.00°
Positions (direct):
Li  0.1477  0.2500  0.0998
Li  0.3463  0.7500  0.7224
Li  0.6537  0.2500  0.2776
Li  0.8523  0.7500  0.9002
In  0.1689  0.7500  0.2952
In  0.8311  0.2500  0.7048
Sn  0.2653  0.2500  0.5438
Sn  0.7347  0.7500  0.4562
Pb  0.3518  0.2500  0.9018
Pb  0.6482  0.7500  0.0982

=====

No. 2
For Li4TlIn2Pb2, DFT lattice parameters and positions (GGA-PBE) gives the computed XRD peak list in this record (Cu Kα (λ = 1.5418 Å)).
Kinematic intensities with the Lorentz-polarization factor, no thermal factor.

Top 12 peaks for 15° ≤ 2θ ≤ 90°, in order of falling intensity:
d = 3.378 Å, rel. 100; d = 1.949 Å, rel. 36; d = 2.390 Å, rel. 29; d = 1.688 Å, rel. 25; d = 2.876 Å, rel. 23; d = 2.757 Å, rel. 22; d = 2.190 Å, rel. 18; d = 4.765 Å, rel. 17; d = 1.511 Å, rel. 17; d = 1.277 Å, rel. 15; d = 5.514 Å, rel. 11; d = 2.382 Å, rel. 11

Structure:
Cell: 6.7493 6.7493 6.7493 Å, 119.89 119.89 90.18°
Positions (direct):
Li  0.2183  0.2183  0.4366
Li  0.2183  0.7817  0.0000
Li  0.7817  0.2183  0.0000
Li  0.7817  0.7817  0.5634
Tl  0.5000  0.5000  0.0000
In  0.2066  0.2066  0.0000
In  0.7934  0.7934  0.0000
Pb  0.2500  0.7500  0.5000
Pb  0.7500  0.2500  0.5000

=====

No. 3
For LiTmInPb, DFT lattice parameters and positions (GGA-PBE) gives the computed XRD peak list in this record (Cu Kα (λ = 1.5418 Å)).
Kinematic intensities with the Lorentz-polarization factor, no thermal factor.

Top 12 peaks for 15° ≤ 2θ ≤ 90°, in order of falling intensity:
d = 2.637 Å, rel. 100; d = 4.693 Å, rel. 26; d = 3.187 Å, rel. 21; d = 2.347 Å, rel. 18; d = 2.314 Å, rel. 17; d = 2.198 Å, rel. 15; d = 1.404 Å, rel. 14; d = 1.390 Å, rel. 14; d = 1.339 Å, rel. 12; d = 1.648 Å, rel. 12; d = 1.318 Å, rel. 12; d = 1.604 Å, rel. 11

Structure:
Cell: 4.3970 4.6271 4.6934 Å, 90.00 90.00 90.00°
Positions (direct):
Li  0.0000  0.0000  0.0000
Tm  0.0000  0.5000  0.5000
In  0.5000  0.5000  0.0000
Pb  0.5000  0.0000  0.5000

=====

No. 4
For LiIn6Pd5, DFT lattice parameters and positions (GGA-PBE) gives the computed XRD peak list in this record (Cu Kα (λ = 1.5418 Å)).
Kinematic intensities with the Lorentz-polarization factor, no thermal factor.

Top 12 peaks for 15° ≤ 2θ ≤ 90°, in order of falling intensity:
d = 2.336 Å, rel. 100; d = 2.346 Å, rel. 68; d = 2.330 Å, rel. 33; d = 1.651 Å, rel. 22; d = 1.350 Å, rel. 22; d = 1.352 Å, rel. 22; d = 1.658 Å, rel. 11; d = 1.344 Å, rel. 11; d = 1.173 Å, rel. 7; d = 1.167 Å, rel. 7; d = 1.355 Å, rel. 6; d = 1.347 Å, rel. 6

Structure:
Cell: 7.3930 7.3930 6.6331 Å, 90.13 90.13 143.26°
Positions (direct):
Li  0.0000  0.0000  0.0000
In  0.1684  0.8317  0.2497
In  0.1683  0.8316  0.7503
In  0.4995  0.4995  0.2567
In  0.5005  0.5005  0.7433
In  0.8317  0.1684  0.2497
In  0.8316  0.1683  0.7503
Pd  0.0000  0.0000  0.5000
Pd  0.3322  0.6678  0.5000
Pd  0.3414  0.6586  0.0000
Pd  0.6586  0.3414  0.0000
Pd  0.6678  0.3322  0.5000

=====

No. 5
For LiIn8Pd2, DFT lattice parameters and positions (GGA-PBE) gives the computed XRD peak list in this record (Cu Kα (λ = 1.5418 Å)).
Kinematic intensities with the Lorentz-polarization factor, no thermal factor.

Top 12 peaks for 15° ≤ 2θ ≤ 90°, in order of falling intensity:
d = 2.245 Å, rel. 100; d = 3.282 Å, rel. 55; d = 2.343 Å, rel. 29; d = 2.299 Å, rel. 26; d = 3.077 Å, rel. 24; d = 1.641 Å, rel. 18; d = 1.333 Å, rel. 18; d = 1.317 Å, rel. 16; d = 1.864 Å, rel. 11; d = 1.842 Å, rel. 10; d = 1.122 Å, rel. 10; d = 2.896 Å, rel. 10

Structure:
Cell: 7.6821 7.6821 4.6861 Å, 90.00 90.00 106.47°
Positions (direct):
Li  0.0000  0.0000  0.0000
In  0.1241  0.8759  0.5000
In  0.1423  0.3847  0.0000
In  0.3790  0.6210  0.5000
In  0.3847  0.1423  0.0000
In  0.6153  0.8577  0.0000
In  0.6210  0.3790  0.5000
In  0.8577  0.6153  0.0000
In  0.8759  0.1241  0.5000
Pd  0.2404  0.7596  0.0000
Pd  0.7596  0.2404  0.0000

=====

No. 6
For Li2In3Pd6, DFT lattice parameters and positions (GGA-PBE) gives the computed XRD peak list in this record (Cu Kα (λ = 1.5418 Å)).
Kinematic intensities with the Lorentz-polarization factor, no thermal factor.

Top 12 peaks for 15° ≤ 2θ ≤ 90°, in order of falling intensity:
d = 2.279 Å, rel. 100; d = 2.043 Å, rel. 64; d = 2.564 Å, rel. 61; d = 1.505 Å, rel. 37; d = 2.797 Å, rel. 35; d = 2.224 Å, rel. 33; d = 1.220 Å, rel. 26; d = 2.004 Å, rel. 26; d = 1.445 Å, rel. 20; d = 1.253 Å, rel. 20; d = 5.561 Å, rel. 19; d = 1.212 Å, rel. 18

Structure:
Cell: 11.4903 11.4903 11.4903 Å, 159.51 159.51 29.13°
Positions (direct):
Li  0.0468  0.0468  0.0000
Li  0.9532  0.9532  0.0000
In  0.3131  0.3131  0.0000
In  0.5000  0.5000  0.0000
In  0.6869  0.6869  0.0000
Pd  0.1000  0.6000  0.5000
Pd  0.1927  0.1927  0.0000
Pd  0.4000  0.9000  0.5000
Pd  0.6000  0.1000  0.5000
Pd  0.8073  0.8073  0.0000
Pd  0.9000  0.4000  0.5000